Starting from a GGA-PBE-relaxed structure, the X-ray powder pattern of CeP2Pd7Pb2 was simulated for λ = 1.5418 Å (Cu Kα).
Kinematic intensities with the Lorentz-polarization factor, no thermal factor.

Structure:
```
data_CeP2Pd7Pb2
_chemical_formula_sum 'Ce2 P4 Pd14 Pb4'
_cell_length_a 5.9197
_cell_length_b 6.9923
_cell_length_c 11.5154
_cell_angle_alpha 90.00
_cell_angle_beta 94.44
_cell_angle_gamma 90.00
_symmetry_space_group_name_H-M 'C 1 2/m 1'
_symmetry_Int_Tables_number 12
loop_
_symmetry_equiv_pos_as_xyz
'x,y,z'
'-x,-y,-z'
'-x,y,-z'
'x,-y,z'
'x+1/2,y+1/2,z'
'-x+1/2,-y+1/2,-z'
'-x+1/2,y+1/2,-z'
'x+1/2,-y+1/2,z'
loop_
_atom_site_label
_atom_site_fract_x
_atom_site_fract_y
_atom_site_fract_z
Ce1 0.0000 0.0000 0.0000
P1 0.1869 0.5000 0.1932
Pd1 0.0000 0.5000 0.0000
Pd2 0.1308 0.5000 0.3934
Pd3 0.1386 0.2979 0.8020
Pb1 0.1358 0.0000 0.3807
```

The 10 most intense peaks (10 to 80 degrees two-theta), in order of rising 2θ:
- 2θ = 25.48°, I = 47, hkl 0 2 0
- 2θ = 29.92°, I = 60, hkl 0 2 2
- 2θ = 34.76°, I = 89, hkl 0 2 3
- 2θ = 35.26°, I = 85, hkl 2 0 2
- 2θ = 37.00°, I = 57, hkl 2 0 -3
- 2θ = 39.24°, I = 75, hkl 0 0 5
- 2θ = 40.30°, I = 100, hkl 2 2 -1
- 2θ = 52.33°, I = 28, hkl 0 4 0
- 2θ = 53.11°, I = 28, hkl 2 2 4
- 2θ = 61.69°, I = 38, hkl 2 2 -6

Starting from a GGA-PBE-relaxed structure, the X-ray powder pattern of OsPt2Rh5 was simulated for λ = 1.5418 Å (Cu Kα).
Kinematic intensities with the Lorentz-polarization factor, no thermal factor.

Structure:
```
data_OsPt2Rh5
_chemical_formula_sum 'Os2 Pt4 Rh10'
_cell_length_a 3.8637
_cell_length_b 3.8637
_cell_length_c 15.5829
_cell_angle_alpha 90.00
_cell_angle_beta 90.00
_cell_angle_gamma 90.00
_symmetry_space_group_name_H-M 'I 4/m m m'
_symmetry_Int_Tables_number 139
_symmetry_space_group_name_Hall '-I 4 2'
loop_
_atom_site_label
_atom_site_fract_x
_atom_site_fract_y
_atom_site_fract_z
Os1 0.0000 0.0000 0.0000
Pt1 0.0000 0.0000 0.2523
Rh1 0.0000 0.0000 0.5000
Rh2 0.0000 0.5000 0.1194
```

The 10 most intense peaks (10 to 80 degrees two-theta), in order of rising 2θ:
- 2θ = 22.83°, I = 6, hkl 0 0 4
- 2θ = 28.80°, I = 2, hkl 1 0 3
- 2θ = 32.78°, I = 5, hkl 1 1 0
- 2θ = 40.32°, I = 100, hkl 1 1 4
- 2θ = 46.63°, I = 16, hkl 0 0 8
- 2θ = 47.04°, I = 33, hkl 2 0 0
- 2θ = 52.90°, I = 3, hkl 2 0 4
- 2θ = 58.17°, I = 2, hkl 1 1 8
- 2θ = 68.39°, I = 20, hkl 2 0 8
- 2θ = 68.72°, I = 11, hkl 2 2 0

Starting from a GGA-PBE-relaxed structure, the X-ray powder pattern of Sn3Te3Br was simulated for λ = 1.5418 Å (Cu Kα).
Kinematic intensities with the Lorentz-polarization factor, no thermal factor.

Structure:
```
data_Sn3Te3Br
_chemical_formula_sum 'Sn6 Te6 Br2'
_cell_length_a 9.8516
_cell_length_b 9.8516
_cell_length_c 6.1411
_cell_angle_alpha 90.00
_cell_angle_beta 90.00
_cell_angle_gamma 120.00
_symmetry_space_group_name_H-M 'P 63/m'
_symmetry_Int_Tables_number 176
_symmetry_space_group_name_Hall '-P 6c'
loop_
_atom_site_label
_atom_site_fract_x
_atom_site_fract_y
_atom_site_fract_z
Sn1 0.0711 0.7327 0.2500
Te1 0.0600 0.7142 0.7500
Br1 0.3333 0.6667 0.2500
```

The 10 most intense peaks (10 to 80 degrees two-theta), in order of rising 2θ:
- 2θ = 18.01°, I = 84, hkl 1 1 0
- 2θ = 20.82°, I = 42, hkl 2 0 0
- 2θ = 27.66°, I = 88, hkl 2 1 0
- 2θ = 29.08°, I = 100, hkl 0 0 2
- 2θ = 31.46°, I = 99, hkl 3 0 0
- 2θ = 38.03°, I = 78, hkl 3 1 0
- 2θ = 40.57°, I = 63, hkl 2 1 2
- 2θ = 43.37°, I = 82, hkl 3 0 2
- 2θ = 48.57°, I = 78, hkl 3 1 2
- 2θ = 65.37°, I = 44, hkl 2 4 2

Starting from a GGA-PBE-relaxed structure, the X-ray powder pattern of Sr2InBiC was simulated for λ = 1.5418 Å (Cu Kα).
Kinematic intensities with the Lorentz-polarization factor, no thermal factor.

Structure:
```
data_Sr2InBiC
_chemical_formula_sum 'Sr2 In1 Bi1 C1'
_cell_length_a 5.6587
_cell_length_b 5.6587
_cell_length_c 4.3420
_cell_angle_alpha 90.00
_cell_angle_beta 90.00
_cell_angle_gamma 90.00
_symmetry_space_group_name_H-M 'P 4/m m m'
_symmetry_Int_Tables_number 123
_symmetry_space_group_name_Hall '-P 4 2'
loop_
_atom_site_label
_atom_site_fract_x
_atom_site_fract_y
_atom_site_fract_z
Sr1 0.0000 0.5000 0.0000
In1 0.0000 0.0000 0.5000
Bi1 0.5000 0.5000 0.5000
C1 0.0000 0.0000 0.0000
```

The 10 most intense peaks (10 to 80 degrees two-theta), in order of rising 2θ:
- 2θ = 22.22°, I = 11, hkl 1 1 0
- 2θ = 30.38°, I = 100, hkl 1 1 1
- 2θ = 31.62°, I = 49, hkl 2 0 0
- 2θ = 41.60°, I = 12, hkl 0 0 2
- 2θ = 45.33°, I = 18, hkl 2 2 0
- 2θ = 53.18°, I = 22, hkl 2 0 2
- 2θ = 55.55°, I = 37, hkl 3 1 1
- 2θ = 63.20°, I = 13, hkl 2 2 2
- 2θ = 69.00°, I = 10, hkl 1 1 3
- 2θ = 75.07°, I = 8, hkl 4 2 0

Starting from a GGA-PBE-relaxed structure, the X-ray powder pattern of AcTh2Te7 was simulated for λ = 1.5418 Å (Cu Kα).
Kinematic intensities with the Lorentz-polarization factor, no thermal factor.

Structure:
```
data_AcTh2Te7
_chemical_formula_sum 'Ac2 Th4 Te14'
_cell_length_a 5.1532
_cell_length_b 5.1532
_cell_length_c 26.2010
_cell_angle_alpha 90.00
_cell_angle_beta 90.00
_cell_angle_gamma 90.00
_symmetry_space_group_name_H-M 'I 4/m m m'
_symmetry_Int_Tables_number 139
_symmetry_space_group_name_Hall '-I 4 2'
loop_
_atom_site_label
_atom_site_fract_x
_atom_site_fract_y
_atom_site_fract_z
Ac1 0.0000 0.0000 0.0000
Th1 0.0000 0.0000 0.3231
Te1 0.0000 0.0000 0.5000
Te2 0.0000 0.5000 0.1014
Te3 0.0000 0.5000 0.2500
```

The 10 most intense peaks (10 to 80 degrees two-theta), in order of rising 2θ:
- 2θ = 20.01°, I = 46, hkl 1 0 3
- 2θ = 28.02°, I = 11, hkl 1 1 4
- 2θ = 31.99°, I = 100, hkl 1 1 6
- 2θ = 34.82°, I = 49, hkl 2 0 0
- 2θ = 35.41°, I = 9, hkl 1 0 9
- 2θ = 36.90°, I = 8, hkl 1 1 8
- 2θ = 40.48°, I = 16, hkl 2 1 3
- 2θ = 50.06°, I = 17, hkl 2 2 0
- 2θ = 55.14°, I = 15, hkl 2 0 12
- 2θ = 60.65°, I = 32, hkl 3 1 6

Starting from a GGA-PBE-relaxed structure, the X-ray powder pattern of Cs2BaCd2Te4 was simulated for λ = 1.5418 Å (Cu Kα).
Kinematic intensities with the Lorentz-polarization factor, no thermal factor.

Structure:
```
data_Cs2BaCd2Te4
_chemical_formula_sum 'Cs4 Ba2 Cd4 Te8'
_cell_length_a 18.4923
_cell_length_b 4.8279
_cell_length_c 9.2762
_cell_angle_alpha 90.00
_cell_angle_beta 109.90
_cell_angle_gamma 90.00
_symmetry_space_group_name_H-M 'C 1 2/m 1'
_symmetry_Int_Tables_number 12
loop_
_symmetry_equiv_pos_as_xyz
'x,y,z'
'-x,-y,-z'
'-x,y,-z'
'x,-y,z'
'x+1/2,y+1/2,z'
'-x+1/2,-y+1/2,-z'
'-x+1/2,y+1/2,-z'
'x+1/2,-y+1/2,z'
loop_
_atom_site_label
_atom_site_fract_x
_atom_site_fract_y
_atom_site_fract_z
Cs1 0.1268 0.0000 0.0520
Ba1 0.0000 0.0000 0.5000
Cd1 0.1706 0.5000 0.4736
Te1 0.0233 0.5000 0.2496
Te2 0.2078 0.0000 0.6707
```

The 10 most intense peaks (10 to 80 degrees two-theta), in order of rising 2θ:
- 2θ = 10.14°, I = 42, hkl 0 0 1
- 2θ = 23.47°, I = 37, hkl 4 0 -2
- 2θ = 23.95°, I = 39, hkl 3 1 -1
- 2θ = 25.82°, I = 47, hkl 4 0 1
- 2θ = 26.72°, I = 100, hkl 1 1 -2
- 2θ = 27.98°, I = 35, hkl 3 1 -2
- 2θ = 28.12°, I = 48, hkl 3 1 1
- 2θ = 30.48°, I = 34, hkl 5 1 -1
- 2θ = 37.25°, I = 44, hkl 0 2 0
- 2θ = 43.53°, I = 34, hkl 3 1 3

Starting from a GGA-PBE-relaxed structure, the X-ray powder pattern of Ti4NbRe was simulated for λ = 1.5418 Å (Cu Kα).
Kinematic intensities with the Lorentz-polarization factor, no thermal factor.

Structure:
```
data_Ti4NbRe
_chemical_formula_sum 'Ti8 Nb2 Re2'
_cell_length_a 9.6409
_cell_length_b 4.5066
_cell_length_c 5.6425
_cell_angle_alpha 90.00
_cell_angle_beta 125.16
_cell_angle_gamma 90.00
_symmetry_space_group_name_H-M 'C 1 2/m 1'
_symmetry_Int_Tables_number 12
loop_
_symmetry_equiv_pos_as_xyz
'x,y,z'
'-x,-y,-z'
'-x,y,-z'
'x,-y,z'
'x+1/2,y+1/2,z'
'-x+1/2,-y+1/2,-z'
'-x+1/2,y+1/2,-z'
'x+1/2,-y+1/2,z'
loop_
_atom_site_label
_atom_site_fract_x
_atom_site_fract_y
_atom_site_fract_z
Ti1 0.1559 0.0000 0.3081
Ti2 0.1849 0.0000 0.8307
Nb1 0.0000 0.5000 0.5000
Re1 0.0000 0.5000 0.0000
```

The 10 most intense peaks (10 to 80 degrees two-theta), in order of rising 2θ:
- 2θ = 22.56°, I = 30, hkl 2 0 0
- 2θ = 22.73°, I = 67, hkl 1 1 0
- 2θ = 31.72°, I = 21, hkl 2 0 -2
- 2θ = 39.27°, I = 100, hkl 1 1 -2
- 2θ = 39.50°, I = 58, hkl 4 0 -2
- 2θ = 39.71°, I = 95, hkl 3 1 0
- 2θ = 40.01°, I = 48, hkl 0 2 0
- 2θ = 51.95°, I = 23, hkl 5 1 -2
- 2θ = 57.48°, I = 30, hkl 4 2 -2
- 2θ = 72.14°, I = 30, hkl 1 3 -2

Starting from a GGA-PBE-relaxed structure, the X-ray powder pattern of Li4Bi2O5 was simulated for λ = 1.5418 Å (Cu Kα).
Kinematic intensities with the Lorentz-polarization factor, no thermal factor.

Structure:
```
data_Li4Bi2O5
_chemical_formula_sum 'Li8 Bi4 O10'
_cell_length_a 5.6394
_cell_length_b 7.6440
_cell_length_c 7.8249
_cell_angle_alpha 89.43
_cell_angle_beta 70.27
_cell_angle_gamma 70.88
_symmetry_space_group_name_H-M 'P -1'
_symmetry_Int_Tables_number 2
loop_
_symmetry_equiv_pos_as_xyz
'x,y,z'
'-x,-y,-z'
loop_
_atom_site_label
_atom_site_fract_x
_atom_site_fract_y
_atom_site_fract_z
Li1 0.1289 0.1709 0.1696
Li2 0.1333 0.8182 0.4694
Li3 0.1613 0.4962 0.8484
Li4 0.2706 0.7548 0.0880
Bi1 0.3225 0.0844 0.7476
Bi2 0.3436 0.3872 0.3822
O1 0.0260 0.0098 0.6875
O2 0.0335 0.6059 0.6360
O3 0.0359 0.2854 0.9625
O4 0.4328 0.6114 0.2567
O5 0.4827 0.8435 0.8726
```

The 10 most intense peaks (10 to 80 degrees two-theta), in order of rising 2θ:
- 2θ = 12.09°, I = 69, hkl 0 0 1
- 2θ = 17.82°, I = 100, hkl 1 1 0
- 2θ = 18.61°, I = 89, hkl 1 1 1
- 2θ = 24.24°, I = 52, hkl 1 1 -1
- 2θ = 24.56°, I = 50, hkl 1 0 2
- 2θ = 26.05°, I = 68, hkl 0 1 -2
- 2θ = 26.39°, I = 93, hkl 0 2 -1
- 2θ = 31.15°, I = 67, hkl -1 1 1
- 2θ = 31.78°, I = 76, hkl 2 1 1
- 2θ = 32.60°, I = 43, hkl 1 2 2

Starting from a GGA-PBE-relaxed structure, the X-ray powder pattern of Tm5Sc4Cd2 was simulated for λ = 1.5418 Å (Cu Kα).
Kinematic intensities with the Lorentz-polarization factor, no thermal factor.

Structure:
```
data_Tm5Sc4Cd2
_chemical_formula_sum 'Tm10 Sc8 Cd4'
_cell_length_a 8.4855
_cell_length_b 19.9299
_cell_length_c 3.4606
_cell_angle_alpha 90.00
_cell_angle_beta 90.00
_cell_angle_gamma 90.00
_symmetry_space_group_name_H-M 'P b a m'
_symmetry_Int_Tables_number 55
loop_
_symmetry_equiv_pos_as_xyz
'x,y,z'
'-x,-y,-z'
'-x,-y,z'
'x,y,-z'
'x+1/2,-y+1/2,-z'
'-x+1/2,y+1/2,z'
'-x+1/2,y+1/2,-z'
'x+1/2,-y+1/2,z'
loop_
_atom_site_label
_atom_site_fract_x
_atom_site_fract_y
_atom_site_fract_z
Tm1 0.0000 0.0000 0.0000
Tm2 0.1265 0.4347 0.0000
Tm3 0.2390 0.2160 0.0000
Sc1 0.0718 0.8535 0.5000
Sc2 0.2173 0.5738 0.5000
Cd1 0.0372 0.3096 0.5000
```

The 10 most intense peaks (10 to 80 degrees two-theta), in order of rising 2θ:
- 2θ = 16.95°, I = 17, hkl 1 3 0
- 2θ = 20.67°, I = 30, hkl 1 4 0
- 2θ = 31.48°, I = 20, hkl 0 4 1
- 2θ = 32.92°, I = 26, hkl 3 2 0
- 2θ = 33.23°, I = 100, hkl 1 4 1
- 2θ = 34.29°, I = 21, hkl 2 6 0
- 2θ = 34.64°, I = 70, hkl 2 2 1
- 2θ = 35.98°, I = 43, hkl 1 5 1
- 2θ = 36.12°, I = 20, hkl 2 3 1
- 2θ = 52.92°, I = 17, hkl 0 0 2